1.
Starting from DFT lattice parameters and positions (PBE), the powder XRD pattern of Nd4Tl3Hg2 was simulated for λ = 1.5418 Å (Cu Kα).
No peak broadening, texture or thermal motion is included.

Peak list (12 most intense, 10° ≤ 2θ ≤ 90°, low angle first)
2θ/deg	I_rel
31.6	100.0
33.7	86.3
46.9	33.9
54.9	21.0
59.0	34.4
60.4	16.5
66.0	11.7
71.0	10.2
76.2	15.9
79.8	15.3
89.5	5.7
89.9	9.1

Atomic structure:
Unit cell a=5.3116 b=5.3116 c=10.7750 alpha=90.00 beta=90.00 gamma=120.00
Positions (direct):
Nd1 0.0000 0.0000 0.1689
Nd2 0.0000 0.0000 0.8311
Nd3 0.3333 0.6667 0.6127
Nd4 0.6667 0.3333 0.3873
Tl1 0.0000 0.0000 0.5000
Tl2 0.3333 0.6667 0.9477
Tl3 0.6667 0.3333 0.0523
Hg1 0.3333 0.6667 0.2949
Hg2 0.6667 0.3333 0.7051

2.
Starting from DFT lattice parameters and positions (PBE), the powder XRD pattern of Ca2Al2Sn2O9 was simulated for λ = 1.5418 Å (Cu Kα).
No peak broadening, texture or thermal motion is included.

Peak list (12 most intense, 10° ≤ 2θ ≤ 90°, low angle first)
2θ/deg	I_rel
11.7	24.4
15.2	76.3
25.5	56.9
27.9	53.5
31.0	100.0
32.7	37.3
33.7	19.7
34.2	32.5
34.8	25.8
38.3	31.7
44.2	33.5
63.9	23.6

Atomic structure:
Unit cell a=9.0972 b=5.5628 c=15.1263 alpha=90.00 beta=90.00 gamma=90.00
Positions (direct):
Ca1 0.0675 0.1365 0.1463
Ca2 0.0675 0.8635 0.6463
Ca3 0.4325 0.3635 0.6463
Ca4 0.4325 0.6365 0.1463
Ca5 0.5675 0.3635 0.8537
Ca6 0.5675 0.6365 0.3537
Ca7 0.9325 0.1365 0.3537
Ca8 0.9325 0.8635 0.8537
Al1 0.1571 0.3105 0.5288
Al2 0.1571 0.6895 0.0288
Al3 0.3429 0.1895 0.0288
Al4 0.3429 0.8105 0.5288
Al5 0.6571 0.1895 0.4712
Al6 0.6571 0.8105 0.9712
Al7 0.8429 0.3105 0.9712
Al8 0.8429 0.6895 0.4712
Sn1 0.1549 0.3667 0.8344
Sn2 0.1549 0.6333 0.3344
Sn3 0.3451 0.1333 0.3344
Sn4 0.3451 0.8667 0.8344
Sn5 0.6549 0.1333 0.1656
Sn6 0.6549 0.8667 0.6656
Sn7 0.8451 0.3667 0.6656
Sn8 0.8451 0.6333 0.1656
O1 0.0000 0.4700 0.2500
O2 0.0000 0.5300 0.7500
O3 0.0127 0.2262 0.9248
O4 0.0127 0.7738 0.4248
O5 0.1605 0.3083 0.4101
O6 0.1605 0.6917 0.9101
O7 0.1675 0.0354 0.7726
O8 0.1675 0.9646 0.2726
O9 0.2263 0.4181 0.0714
O10 0.2263 0.5819 0.5714
O11 0.2737 0.0819 0.5714
O12 0.2737 0.9181 0.0714
O13 0.3325 0.4646 0.2726
O14 0.3325 0.5354 0.7726
O15 0.3395 0.1917 0.9101
O16 0.3395 0.8083 0.4101
O17 0.4873 0.2738 0.4248
O18 0.4873 0.7262 0.9248
O19 0.5000 0.0300 0.7500
O20 0.5000 0.9700 0.2500
O21 0.5127 0.2738 0.0752
O22 0.5127 0.7262 0.5752
O23 0.6605 0.1917 0.5899
O24 0.6605 0.8083 0.0899
O25 0.6675 0.4646 0.2274
O26 0.6675 0.5354 0.7274
O27 0.7263 0.0819 0.9286
O28 0.7263 0.9181 0.4286
O29 0.7737 0.4181 0.4286
O30 0.7737 0.5819 0.9286
O31 0.8325 0.0354 0.7274
O32 0.8325 0.9646 0.2274
O33 0.8395 0.3083 0.0899
O34 0.8395 0.6917 0.5899
O35 0.9873 0.2262 0.5752
O36 0.9873 0.7738 0.0752

3.
Starting from DFT lattice parameters and positions (PBE), the powder XRD pattern of Tb2Er3Hg6 was simulated for λ = 1.5418 Å (Cu Kα).
No peak broadening, texture or thermal motion is included.

Peak list (12 most intense, 10° ≤ 2θ ≤ 90°, low angle first)
2θ/deg	I_rel
20.1	12.9
25.8	47.9
32.2	13.9
35.5	60.2
37.0	100.0
49.8	11.6
51.1	21.7
58.1	10.6
64.7	39.8
67.6	14.2
78.8	10.8
85.9	10.3

Atomic structure:
Unit cell a=13.7210 b=13.7210 c=13.7210 alpha=158.76 beta=158.76 gamma=30.22
Positions (direct):
Tb1 0.1317 0.1317 0.0000
Tb2 0.8683 0.8683 0.0000
Er1 0.3646 0.3646 0.0000
Er2 0.5000 0.5000 0.0000
Er3 0.6354 0.6354 0.0000
Hg1 0.0658 0.5658 0.5000
Hg2 0.2485 0.2485 0.0000
Hg3 0.4342 0.9342 0.5000
Hg4 0.5658 0.0658 0.5000
Hg5 0.7515 0.7515 0.0000
Hg6 0.9342 0.4342 0.5000

4.
Starting from DFT lattice parameters and positions (PBE), the powder XRD pattern of RbAg3Sb3 was simulated for λ = 1.5418 Å (Cu Kα).
No peak broadening, texture or thermal motion is included.

Peak list (12 most intense, 10° ≤ 2θ ≤ 90°, low angle first)
2θ/deg	I_rel
16.2	39.9
23.0	41.9
28.3	100.0
40.4	46.3
43.8	59.4
47.0	36.4
52.9	16.7
55.7	14.2
66.2	16.8
68.6	22.6
75.8	17.0
82.8	16.4

Atomic structure:
Unit cell a=7.7355 b=7.7355 c=7.7355 alpha=90.00 beta=90.00 gamma=90.00
Positions (direct):
Rb1 0.0000 0.0000 0.0000
Rb2 0.5000 0.5000 0.5000
Ag1 0.0000 0.2500 0.5000
Ag2 0.0000 0.7500 0.5000
Ag3 0.2500 0.5000 0.0000
Ag4 0.5000 0.0000 0.2500
Ag5 0.5000 0.0000 0.7500
Ag6 0.7500 0.5000 0.0000
Sb1 0.0000 0.5000 0.2500
Sb2 0.0000 0.5000 0.7500
Sb3 0.2500 0.0000 0.5000
Sb4 0.5000 0.2500 0.0000
Sb5 0.5000 0.7500 0.0000
Sb6 0.7500 0.0000 0.5000

5.
Starting from DFT lattice parameters and positions (PBE), the powder XRD pattern of PrTh2Se5 was simulated for λ = 1.5418 Å (Cu Kα).
No peak broadening, texture or thermal motion is included.

Peak list (12 most intense, 10° ≤ 2θ ≤ 90°, low angle first)
2θ/deg	I_rel
22.5	36.5
23.5	62.3
25.0	26.8
25.4	44.4
31.9	80.3
34.1	100.0
34.7	27.3
35.1	35.6
40.1	37.3
42.7	49.2
43.2	36.5
45.8	31.5

Atomic structure:
Unit cell a=12.9194 b=8.3685 c=7.9076 alpha=90.00 beta=90.00 gamma=90.00
Positions (direct):
Pr1 0.0047 0.2500 0.0820
Pr2 0.4953 0.7500 0.5820
Pr3 0.5047 0.2500 0.4180
Pr4 0.9953 0.7500 0.9180
Th1 0.1809 0.5012 0.5105
Th2 0.1809 0.9988 0.5105
Th3 0.3191 0.0012 0.0105
Th4 0.3191 0.4988 0.0105
Th5 0.6809 0.5012 0.9895
Th6 0.6809 0.9988 0.9895
Th7 0.8191 0.0012 0.4895
Th8 0.8191 0.4988 0.4895
Se1 0.0012 0.2500 0.4707
Se2 0.1098 0.5431 0.1610
Se3 0.1098 0.9569 0.1610
Se4 0.1824 0.2500 0.8204
Se5 0.2136 0.7500 0.7925
Se6 0.2864 0.2500 0.2925
Se7 0.3176 0.7500 0.3204
Se8 0.3902 0.0431 0.6610
Se9 0.3902 0.4569 0.6610
Se10 0.4988 0.7500 0.9707
Se11 0.5012 0.2500 0.0293
Se12 0.6098 0.5431 0.3390
Se13 0.6098 0.9569 0.3390
Se14 0.6824 0.2500 0.6796
Se15 0.7136 0.7500 0.7075
Se16 0.7864 0.2500 0.2075
Se17 0.8176 0.7500 0.1796
Se18 0.8902 0.0431 0.8390
Se19 0.8902 0.4569 0.8390
Se20 0.9988 0.7500 0.5293

6.
Starting from DFT lattice parameters and positions (PBE), the powder XRD pattern of PaAsI3 was simulated for λ = 1.5418 Å (Cu Kα).
No peak broadening, texture or thermal motion is included.

Peak list (12 most intense, 10° ≤ 2θ ≤ 90°, low angle first)
2θ/deg	I_rel
10.6	100.0
11.6	56.3
13.0	38.2
15.8	24.2
16.6	20.5
24.5	27.3
24.6	32.8
30.8	37.8
32.8	26.9
34.7	22.4
37.6	26.6
42.4	22.0

Atomic structure:
Unit cell a=8.3445 b=7.6372 c=15.0703 alpha=90.00 beta=95.23 gamma=90.00
Positions (direct):
Pa1 0.0824 0.1292 0.1415
Pa2 0.0824 0.8708 0.6415
Pa3 0.9176 0.1292 0.3585
Pa4 0.9176 0.8708 0.8585
As1 0.1356 0.3585 0.2873
As2 0.1356 0.6415 0.7873
As3 0.8644 0.3585 0.2127
As4 0.8644 0.6415 0.7127
I1 0.1275 0.2206 0.5328
I2 0.1275 0.7794 0.0328
I3 0.2237 0.1009 0.7977
I4 0.2237 0.8991 0.2977
I5 0.3737 0.2640 0.0737
I6 0.3737 0.7360 0.5737
I7 0.6263 0.2640 0.4263
I8 0.6263 0.7360 0.9263
I9 0.7763 0.1009 0.7023
I10 0.7763 0.8991 0.2023
I11 0.8725 0.2206 0.9672
I12 0.8725 0.7794 0.4672